(1)
Li2V3WO8: calculated powder diffraction line list (Cu Kα (λ = 1.5418 Å)), based on a cell relaxed with GGA+U.
No peak broadening, texture or thermal motion is included.

Unit cell a=6.039 b=6.039 c=6.212 alpha=120.25 beta=120.25 gamma=60.30
Fractional coordinates of all 14 atoms:
Li (0.128, 0.128, 0.389)
Li (0.872, 0.872, 0.611)
V (0.000, 0.500, 0.000)
V (0.500, 0.000, 0.000)
V (0.500, 0.500, 0.000)
W (0.500, 0.500, 0.500)
O (0.262, 0.262, 0.796)
O (0.267, 0.717, 0.245)
O (0.269, 0.269, 0.256)
O (0.283, 0.733, 0.755)
O (0.717, 0.267, 0.245)
O (0.731, 0.731, 0.744)
O (0.733, 0.283, 0.755)
O (0.738, 0.738, 0.204)

Peak list (10 most intense, 15° ≤ 2θ ≤ 90°, in order of falling intensity)
18.0°, I 100; 17.8°, I 51; 41.6°, I 38; 34.0°, I 20; 20.5°, I 20; 34.5°, I 18; 42.6°, I 18; 34.2°, I 17; 35.0°, I 17; 36.4°, I 12

---

(2)
Li3MnPO5: calculated powder diffraction line list (Cu Kα (λ = 1.5418 Å)), based on a cell relaxed with GGA+U.
No peak broadening, texture or thermal motion is included.

Unit cell a=5.507 b=16.031 c=5.039 alpha=90.00 beta=90.00 gamma=90.00
Fractional coordinates of all 40 atoms:
Li (0.162, 0.094, 0.000)
Li (0.170, 0.505, 0.000)
Li (0.173, 0.696, 0.975)
Li (0.327, 0.196, 0.475)
Li (0.330, 0.005, 0.500)
Li (0.338, 0.594, 0.500)
Li (0.662, 0.406, 0.000)
Li (0.670, 0.995, 0.000)
Li (0.673, 0.804, 0.975)
Li (0.827, 0.304, 0.475)
Li (0.830, 0.495, 0.500)
Li (0.838, 0.906, 0.500)
Mn (0.173, 0.300, 0.001)
Mn (0.327, 0.800, 0.501)
Mn (0.673, 0.200, 0.001)
Mn (0.827, 0.700, 0.501)
P (0.165, 0.903, 0.993)
P (0.335, 0.403, 0.493)
P (0.665, 0.597, 0.993)
P (0.835, 0.097, 0.493)
O (0.101, 0.098, 0.596)
O (0.166, 0.909, 0.682)
O (0.176, 0.691, 0.596)
O (0.189, 0.479, 0.604)
O (0.206, 0.320, 0.575)
O (0.294, 0.820, 0.075)
O (0.311, 0.979, 0.104)
O (0.324, 0.191, 0.096)
O (0.334, 0.409, 0.182)
O (0.399, 0.598, 0.096)
O (0.601, 0.402, 0.596)
O (0.666, 0.591, 0.682)
O (0.676, 0.809, 0.596)
O (0.689, 0.021, 0.604)
O (0.706, 0.180, 0.575)
O (0.794, 0.680, 0.075)
O (0.811, 0.521, 0.104)
O (0.824, 0.309, 0.096)
O (0.834, 0.091, 0.182)
O (0.899, 0.902, 0.096)

Peak list (10 most intense, 15° ≤ 2θ ≤ 90°, in order of falling intensity)
19.6°, I 100; 24.3°, I 86; 32.3°, I 60; 35.6°, I 55; 37.0°, I 37; 32.5°, I 35; 26.4°, I 31; 57.9°, I 31; 64.9°, I 24; 18.5°, I 23

---

(3)
CrP3O9: calculated powder diffraction line list (Cu Kα (λ = 1.5418 Å)), based on a cell relaxed with GGA+U.
No peak broadening, texture or thermal motion is included.

Unit cell a=7.403 b=7.403 c=9.538 alpha=122.18 beta=122.18 gamma=52.22
Fractional coordinates of all 26 atoms:
Cr (0.241, 0.759, 0.500)
Cr (0.759, 0.241, 0.000)
P (0.037, 0.236, 0.823)
P (0.236, 0.037, 0.323)
P (0.274, 0.451, 0.675)
P (0.451, 0.274, 0.175)
P (0.694, 0.795, 0.241)
P (0.795, 0.694, 0.741)
O (0.083, 0.146, 0.178)
O (0.146, 0.083, 0.678)
O (0.149, 0.911, 0.336)
O (0.228, 0.296, 0.003)
O (0.296, 0.228, 0.503)
O (0.319, 0.616, 0.667)
O (0.362, 0.427, 0.331)
O (0.427, 0.362, 0.831)
O (0.498, 0.851, 0.303)
O (0.566, 0.735, 0.593)
O (0.572, 0.997, 0.156)
O (0.616, 0.319, 0.167)
O (0.735, 0.566, 0.093)
O (0.810, 0.902, 0.902)
O (0.851, 0.498, 0.803)
O (0.902, 0.810, 0.402)
O (0.911, 0.149, 0.836)
O (0.997, 0.572, 0.656)

Peak list (10 most intense, 15° ≤ 2θ ≤ 90°, in order of falling intensity)
22.4°, I 100; 25.7°, I 46; 31.6°, I 15; 28.5°, I 15; 32.2°, I 14; 16.5°, I 12; 36.5°, I 10; 27.0°, I 9; 23.7°, I 9; 59.7°, I 8

---

Copy entry 2 word for word.
Li3MnPO5: calculated powder diffraction line list (Cu Kα (λ = 1.5418 Å)), based on a cell relaxed with GGA+U.
No peak broadening, texture or thermal motion is included.

Unit cell a=5.507 b=16.031 c=5.039 alpha=90.00 beta=90.00 gamma=90.00
Fractional coordinates of all 40 atoms:
Li (0.162, 0.094, 0.000)
Li (0.170, 0.505, 0.000)
Li (0.173, 0.696, 0.975)
Li (0.327, 0.196, 0.475)
Li (0.330, 0.005, 0.500)
Li (0.338, 0.594, 0.500)
Li (0.662, 0.406, 0.000)
Li (0.670, 0.995, 0.000)
Li (0.673, 0.804, 0.975)
Li (0.827, 0.304, 0.475)
Li (0.830, 0.495, 0.500)
Li (0.838, 0.906, 0.500)
Mn (0.173, 0.300, 0.001)
Mn (0.327, 0.800, 0.501)
Mn (0.673, 0.200, 0.001)
Mn (0.827, 0.700, 0.501)
P (0.165, 0.903, 0.993)
P (0.335, 0.403, 0.493)
P (0.665, 0.597, 0.993)
P (0.835, 0.097, 0.493)
O (0.101, 0.098, 0.596)
O (0.166, 0.909, 0.682)
O (0.176, 0.691, 0.596)
O (0.189, 0.479, 0.604)
O (0.206, 0.320, 0.575)
O (0.294, 0.820, 0.075)
O (0.311, 0.979, 0.104)
O (0.324, 0.191, 0.096)
O (0.334, 0.409, 0.182)
O (0.399, 0.598, 0.096)
O (0.601, 0.402, 0.596)
O (0.666, 0.591, 0.682)
O (0.676, 0.809, 0.596)
O (0.689, 0.021, 0.604)
O (0.706, 0.180, 0.575)
O (0.794, 0.680, 0.075)
O (0.811, 0.521, 0.104)
O (0.824, 0.309, 0.096)
O (0.834, 0.091, 0.182)
O (0.899, 0.902, 0.096)

Peak list (10 most intense, 15° ≤ 2θ ≤ 90°, in order of falling intensity)
19.6°, I 100; 24.3°, I 86; 32.3°, I 60; 35.6°, I 55; 37.0°, I 37; 32.5°, I 35; 26.4°, I 31; 57.9°, I 31; 64.9°, I 24; 18.5°, I 23

---

- Which formula does entry 1 have?
  Li2V3WO8